Record 1
Diffraction record for SbCN2OF3. The powder X-ray diffraction pattern is computed, not measured: it uses a crystal structure in the Materials Project, relaxed with GGA-PBE and CuKα.
Neutral-atom scattering factors, no anomalous dispersion.

Structure:
Cell: 8.312 9.660 7.526 Å, 90.00 90.00 90.00°
Space group Pca2_1 (No. 29)
Inequivalent atoms, fractional coordinates:
Sb1 0.094 0.108 0.000 (multiplicity 4)
C1 0.045 0.715 0.115 (multiplicity 4)
N1 0.048 0.600 0.007 (multiplicity 4)
N2 0.131 0.597 0.158 (multiplicity 4)
O1 0.001 0.831 0.150 (multiplicity 4)
F1 0.132 0.304 0.970 (multiplicity 4)
F2 0.133 0.857 0.556 (multiplicity 4)
F3 0.144 0.122 0.256 (multiplicity 4)

Most intense lines, 10 to 90 degrees two-theta, by intensity:
d (Å)  two_theta  intensity  index
3.646  24.4  100  2 0 1
4.831  18.4  29  1 1 1
3.763  23.6  26  0 0 2
2.150  42.0  20  2 0 3
2.790  32.1  19  1 3 1
4.176  21.3  17  1 2 0
6.301  14.1  15  1 1 0
2.331  38.6  12  1 1 3
2.403  37.4  11  3 2 0
2.098  43.1  11  3 3 0

=====

Record 2
Diffraction record for SmCuSi. The powder X-ray diffraction pattern is computed, not measured: it uses a crystal structure in the Materials Project, relaxed with GGA-PBE and CuKα.
Neutral-atom scattering factors, no anomalous dispersion.

Structure:
Cell: 4.1910 4.1910 7.7472 Å, 90.00 90.00 120.00°
Space group P6_3/mmc (No. 194)
Inequivalent atoms, fractional coordinates:
Sm1 0.0000 0.0000 0.0000 (multiplicity 2)
Cu1 0.3333 0.6667 0.2500 (multiplicity 2)
Si1 0.3333 0.6667 0.7500 (multiplicity 2)

Most intense lines, 10 to 90 degrees two-theta, by intensity:
d (Å)  two_theta  intensity  index
2.649  33.8  100  1 0 2
2.096  43.2  39  1 1 0
3.630  24.5  29  1 0 0
1.643  56.0  23  2 0 2
1.422  65.6  22  1 1 4
1.293  73.2  21  2 1 2
1.937  46.9  10  0 0 4
1.217  78.6  9  1 0 6
1.709  53.6  7  1 0 4
1.210  79.2  6  3 0 0

=====

Record 3
Diffraction record for Gd3Br2O6. The powder X-ray diffraction pattern is computed, not measured: it uses a crystal structure in the Materials Project, relaxed with GGA-PBE and CuKα.
Neutral-atom scattering factors, no anomalous dispersion.

Structure:
Cell: 13.840 7.528 4.023 Å, 90.00 90.00 90.00°
Space group Pmn2_1 (No. 31)
Inequivalent atoms, fractional coordinates:
Gd1 0.000 0.134 0.000 (multiplicity 2)
Gd2 0.138 0.457 0.496 (multiplicity 4)
Br1 0.122 0.892 0.507 (multiplicity 4)
O1 0.000 0.271 0.500 (multiplicity 2)
O2 0.000 0.623 0.445 (multiplicity 2)
O3 0.140 0.291 0.998 (multiplicity 4)
O4 0.192 0.578 0.995 (multiplicity 4)

Most intense lines, 10 to 90 degrees two-theta, by intensity:
d (Å)  two_theta  intensity  index
3.032  29.5  100  3 0 1
2.748  32.6  92  0 2 1
2.916  30.7  77  3 2 0
3.437  25.9  59  1 1 1
5.095  17.4  53  2 1 0
1.933  47.0  47  3 3 1
6.613  13.4  46  1 1 0
2.011  45.1  42  0 0 2
1.728  53.0  41  8 0 0
2.361  38.1  37  3 2 1

=====

Record 4
Diffraction record for Er2PdPt. The powder X-ray diffraction pattern is computed, not measured: it uses a crystal structure in the Materials Project, relaxed with GGA-PBE and CuKα.
Neutral-atom scattering factors, no anomalous dispersion.

Structure:
Cell: 6.929 6.929 6.929 Å, 90.00 90.00 90.00°
Space group Fm-3m (No. 225)
Inequivalent atoms, fractional coordinates:
Er1 0.250 0.250 0.250 (multiplicity 8)
Pd1 0.000 0.000 0.000 (multiplicity 4)
Pt1 0.000 0.000 0.500 (multiplicity 4)

Most intense lines, 10 to 90 degrees two-theta, by intensity:
d (Å)  two_theta  intensity  index
2.450  36.7  100  2 2 0
1.414  66.1  36  4 2 2
1.732  52.9  18  4 0 0
1.096  89.4  17  6 2 0
1.225  78.0  11  4 4 0
4.000  22.2  4  1 1 1
2.089  43.3  2  3 1 1
1.590  58.0  1  3 3 1
1.171  82.3  1  5 3 1
1.333  70.6  1  5 1 1

=====

Record 5
Diffraction record for LaFe6Co6B6. The powder X-ray diffraction pattern is computed, not measured: it uses a crystal structure in the Materials Project, relaxed with GGA-PBE and CuKα.
Neutral-atom scattering factors, no anomalous dispersion.

Structure:
Cell: 9.5139 9.5139 7.4871 Å, 90.00 90.00 120.00°
Space group R-3m (No. 166, hexagonal axes)
Inequivalent atoms, fractional coordinates:
La1 0.0000 0.0000 0.0000 (multiplicity 3)
Fe1 0.0000 0.3677 0.5000 (multiplicity 18)
Co1 0.0907 0.1815 0.3682 (multiplicity 18)
B1 0.0389 0.5195 0.2871 (multiplicity 18)

Most intense lines, 10 to 90 degrees two-theta, by intensity:
d (Å)  two_theta  intensity  index
2.186  41.3  100  1 3 1
2.210  40.8  54  1 1 3
2.771  32.3  39  2 0 2
2.746  32.6  27  3 0 0
1.847  49.3  25  3 0 3
1.950  46.6  23  3 1 2
1.586  58.2  22  3 3 0
1.508  61.5  17  5 0 2
2.875  31.1  13  2 1 1
1.459  63.8  11  1 4 3

=====

Record 6
Diffraction record for GdDyIr2. The powder X-ray diffraction pattern is computed, not measured: it uses a crystal structure in the Materials Project, relaxed with GGA-PBE and CuKα.
Neutral-atom scattering factors, no anomalous dispersion.

Structure:
Cell: 6.893 6.893 6.893 Å, 90.00 90.00 90.00°
Space group Fm-3m (No. 225)
Inequivalent atoms, fractional coordinates:
Gd1 0.000 0.000 0.000 (multiplicity 4)
Dy1 0.000 0.000 0.500 (multiplicity 4)
Ir1 0.250 0.250 0.250 (multiplicity 8)

Most intense lines, 10 to 90 degrees two-theta, by intensity:
d (Å)  two_theta  intensity  index
2.437  36.9  100  2 2 0
1.407  66.5  36  4 2 2
1.723  53.2  18  4 0 0
1.218  78.5  11  4 4 0
3.446  25.9  1  2 0 0

=====

Record 7
Diffraction record for Nd2PbS4. The powder X-ray diffraction pattern is computed, not measured: it uses a crystal structure in the Materials Project, relaxed with GGA-PBE and CuKα.
Neutral-atom scattering factors, no anomalous dispersion.

Structure:
Cell: 8.686 8.686 8.667 Å, 90.00 90.00 90.00°
Space group I-42d (No. 122)
Inequivalent atoms, fractional coordinates:
Nd1 0.131 0.250 0.125 (multiplicity 8)
Pb1 0.000 0.000 0.500 (multiplicity 4)
S1 0.076 0.172 0.809 (multiplicity 16)

Most intense lines, 10 to 90 degrees two-theta, by intensity:
d (Å)  two_theta  intensity  index
3.543  25.1  100  1 1 2
2.745  32.6  83  3 0 1
2.320  38.8  53  3 1 2
1.941  46.8  38  2 0 4
1.703  53.8  28  4 3 1
1.851  49.2  25  3 2 3
1.409  66.4  22  6 1 1
1.182  81.4  19  5 5 2
1.407  66.5  12  1 1 6
3.070  29.1  10  2 2 0

=====

Record 8
Diffraction record for Dy7Te2Pt2. The powder X-ray diffraction pattern is computed, not measured: it uses a crystal structure in the Materials Project, relaxed with GGA-PBE and CuKα.
Neutral-atom scattering factors, no anomalous dispersion.

Structure:
Cell: 3.960 15.724 9.664 Å, 90.00 90.00 90.00°
Space group Imm2 (No. 44)
Inequivalent atoms, fractional coordinates:
Dy1 0.000 0.000 0.000 (multiplicity 2)
Dy2 0.000 0.129 0.584 (multiplicity 4)
Dy3 0.000 0.316 0.377 (multiplicity 4)
Dy4 0.000 0.357 0.733 (multiplicity 4)
Te1 0.000 0.000 0.337 (multiplicity 2)
Te2 0.000 0.500 0.239 (multiplicity 2)
Pt1 0.000 0.238 0.074 (multiplicity 4)

Most intense lines, 10 to 90 degrees two-theta, by intensity:
d (Å)  two_theta  intensity  index
2.680  33.4  100  1 4 1
2.744  32.6  41  0 3 3
2.644  33.9  37  1 3 2
3.006  29.7  36  1 1 2
2.382  37.8  28  1 2 3
1.980  45.8  26  2 0 0
2.499  35.9  22  1 0 3
3.158  28.3  20  1 3 0
2.306  39.1  19  0 6 2
7.862  11.3  19  0 2 0

=====

Record 9
Diffraction record for Y4GeS3. The powder X-ray diffraction pattern is computed, not measured: it uses a crystal structure in the Materials Project, relaxed with GGA-PBE and CuKα.
Neutral-atom scattering factors, no anomalous dispersion.

Structure:
Cell: 4.0175 4.0175 38.5708 Å, 90.00 90.00 120.00°
Space group R-3m (No. 166, hexagonal axes)
Inequivalent atoms, fractional coordinates:
Y1 0.0000 0.0000 0.1243 (multiplicity 6)
Y2 0.0000 0.0000 0.3728 (multiplicity 6)
Ge1 0.0000 0.0000 0.5000 (multiplicity 3)
S1 0.0000 0.0000 0.0000 (multiplicity 3)
S2 0.0000 0.0000 0.2527 (multiplicity 6)

Most intense lines, 10 to 90 degrees two-theta, by intensity:
d (Å)  two_theta  intensity  index
2.821  31.7  100  0 1 8
2.009  45.1  36  1 1 0
1.982  45.8  34  1 0 16
1.636  56.2  18  2 0 8
3.273  27.2  18  1 0 4
1.269  74.8  15  1 2 8
1.255  75.8  14  1 1 24
1.154  83.8  11  2 1 16
1.411  66.3  11  0 2 16
1.160  83.3  6  3 0 0